This entry pairs a crystal structure of TlZnCo2Cl8 with its simulated powder diffraction line list. Radiation: Cu Kα, 1.54184 Å. Structure: a structure optimized by DFT (PBE).
Lines closer than 0.1° are merged.

The 10 most intense peaks (2θ = 5–70°), in order of rising 2θ:
two_theta  I (rel.)
20.8  100
28.5  42
29.0  21
30.1  47
30.7  27
34.6  37
35.5  25
46.2  24
49.1  37
50.4  28

Atomic structure:
Cell lengths 9.907, 9.907, 9.907 Å; angles 36.88, 36.88, 36.88 degrees
Atoms (fractional coordinates):
Tl 0.000 0.000 0.000
Zn 0.500 0.500 0.500
Co 0.243 0.243 0.243
Co 0.757 0.757 0.757
Cl 0.126 0.769 0.445
Cl 0.231 0.555 0.874
Cl 0.322 0.322 0.322
Cl 0.445 0.126 0.769
Cl 0.555 0.874 0.231
Cl 0.678 0.678 0.678
Cl 0.769 0.445 0.126
Cl 0.874 0.231 0.555